No. 1
LaPrGd: simulated powder XRD pattern (Cu Kα), based on a GGA-PBE-relaxed structure.
Intensities are scaled so that the largest is 100.

Main lines, sorted by position (5 to 70 degrees two-theta):
- 2θ 19.63, 4.522 Å, I = 25, hkl 1 1 1
- 2θ 22.70, 3.916 Å, I = 15, hkl 2 0 0
- 2θ 32.33, 2.769 Å, I = 100, hkl 2 2 0
- 2θ 38.10, 2.362 Å, I = 14, hkl 3 1 1
- 2θ 46.37, 1.958 Å, I = 18, hkl 4 0 0
- 2θ 50.81, 1.797 Å, I = 6, hkl 3 3 1
- 2θ 52.23, 1.752 Å, I = 6, hkl 4 2 0
- 2θ 57.65, 1.599 Å, I = 38, hkl 4 2 2
- 2θ 61.51, 1.507 Å, I = 5, hkl 5 1 1
- 2θ 67.66, 1.385 Å, I = 12, hkl 4 4 0

Structural model:
Lattice parameters (Å, degrees): 7.833 7.833 7.833 90.00 90.00 90.00
Space group F-43m (No. 216)
Symmetry-distinct sites (fractional):
La 0.000 0.000 0.000 [4 per cell]
Pr 0.250 0.250 0.750 [4 per cell]
Gd 0.000 0.000 0.500 [4 per cell]

---

No. 2
LaGdTl2Zn2: simulated powder XRD pattern (Cu Kα), based on a GGA-PBE-relaxed structure.
Intensities are scaled so that the largest is 100.

Main lines, sorted by position (5 to 70 degrees two-theta):
- 2θ 24.50, 3.634 Å, I = 39, hkl 0 1 1
- 2θ 31.90, 2.805 Å, I = 100, hkl 0 1 2
- 2θ 37.72, 2.385 Å, I = 77, hkl 1 1 0
- 2θ 41.65, 2.168 Å, I = 21, hkl 1 0 3
- 2θ 50.21, 1.817 Å, I = 28, hkl 2 0 2
- 2θ 57.44, 1.604 Å, I = 8, hkl 0 2 3
- 2θ 62.26, 1.491 Å, I = 21, hkl 1 1 4
- 2θ 64.47, 1.445 Å, I = 27, hkl 1 2 2
- 2θ 65.07, 1.433 Å, I = 8, hkl 1 0 5
- 2θ 68.10, 1.377 Å, I = 14, hkl 3 0 0

Structural model:
Lattice parameters (Å, degrees): 4.7696 4.7696 7.6424 90.00 90.00 120.00
Space group P3m1 (No. 156)
Symmetry-distinct sites (fractional):
La 0.0000 0.0000 0.0000 [1 per cell]
Gd 0.0000 0.0000 0.5007 [1 per cell]
Tl 0.3333 0.6667 0.7682 [1 per cell]
Tl 0.6667 0.3333 0.2889 [1 per cell]
Zn 0.3333 0.6667 0.2100 [1 per cell]
Zn 0.6667 0.3333 0.6904 [1 per cell]

---

No. 3
Li2GdLuSn2Pt2: simulated powder XRD pattern (Cu Kα), based on a GGA-PBE-relaxed structure.
Intensities are scaled so that the largest is 100.

Main lines, sorted by position (5 to 70 degrees two-theta):
- 2θ 22.98, 3.871 Å, I = 38, hkl 1 0 1
- 2θ 26.59, 3.352 Å, I = 4, hkl 0 0 2
- 2θ 37.96, 2.370 Å, I = 100, hkl 2 0 0
- 2θ 44.84, 2.021 Å, I = 20, hkl 2 1 1
- 2θ 46.95, 1.935 Å, I = 1, hkl 2 0 2
- 2θ 54.77, 1.676 Å, I = 18, hkl 2 2 0
- 2θ 60.16, 1.538 Å, I = 8, hkl 3 0 1
- 2θ 61.89, 1.499 Å, I = 2, hkl 1 1 4
- 2θ 68.58, 1.368 Å, I = 36, hkl 3 1 2

Structural model:
Lattice parameters (Å, degrees): 4.739 4.739 6.709 90.00 90.00 90.00
Space group P-4m2 (No. 115)
Symmetry-distinct sites (fractional):
Li 0.000 0.500 0.247 [2 per cell]
Gd 0.000 0.000 0.500 [1 per cell]
Lu 0.500 0.500 0.000 [1 per cell]
Sn 0.000 0.000 0.000 [1 per cell]
Sn 0.500 0.500 0.500 [1 per cell]
Pt 0.000 0.500 0.759 [2 per cell]

---

No. 4
LiGdNb: simulated powder XRD pattern (Cu Kα), based on a GGA-PBE-relaxed structure.
Intensities are scaled so that the largest is 100.

Main lines, sorted by position (5 to 70 degrees two-theta):
- 2θ 22.78, 3.903 Å, I = 100, hkl 1 1 1
- 2θ 26.37, 3.380 Å, I = 7, hkl 2 0 0
- 2θ 37.63, 2.390 Å, I = 84, hkl 2 2 0
- 2θ 44.45, 2.038 Å, I = 51, hkl 3 1 1
- 2θ 46.54, 1.952 Å, I = 2, hkl 2 2 2
- 2θ 54.28, 1.690 Å, I = 15, hkl 4 0 0
- 2θ 59.61, 1.551 Å, I = 21, hkl 3 3 1
- 2θ 61.33, 1.512 Å, I = 3, hkl 4 2 0
- 2θ 67.93, 1.380 Å, I = 29, hkl 4 2 2

Structural model:
Lattice parameters (Å, degrees): 6.760 6.760 6.760 90.00 90.00 90.00
Space group F-43m (No. 216)
Symmetry-distinct sites (fractional):
Li 0.000 0.000 0.000 [4 per cell]
Gd 0.000 0.000 0.500 [4 per cell]
Nb 0.250 0.250 0.750 [4 per cell]

---

No. 5
Li4GdNbO6: simulated powder XRD pattern (Cu Kα), based on a GGA-PBE-relaxed structure.
Intensities are scaled so that the largest is 100.

Main lines, sorted by position (5 to 70 degrees two-theta):
- 2θ 18.09, 4.903 Å, I = 100, hkl 0 0 1
- 2θ 18.71, 4.744 Å, I = 25, hkl 0 2 0
- 2θ 19.69, 4.509 Å, I = 44, hkl 1 1 0
- 2θ 22.46, 3.959 Å, I = 34, hkl 1 1 -1
- 2θ 26.14, 3.409 Å, I = 24, hkl 0 2 1
- 2θ 33.29, 2.691 Å, I = 40, hkl 1 3 0
- 2θ 33.52, 2.673 Å, I = 21, hkl 2 0 -1
- 2θ 35.05, 2.560 Å, I = 28, hkl 2 0 0
- 2θ 41.03, 2.200 Å, I = 52, hkl 1 3 1
- 2θ 41.46, 2.178 Å, I = 32, hkl 2 0 -2

Structural model:
Lattice parameters (Å, degrees): 5.448 9.488 5.211 90.00 109.81 90.00
Space group C2 (No. 5)
Symmetry-distinct sites (fractional):
Li 0.000 0.000 0.000 [2 per cell]
Li 0.000 0.143 0.500 [2 per cell]
Li 0.000 0.306 0.000 [2 per cell]
Li 0.000 0.622 0.000 [2 per cell]
Gd 0.000 0.811 0.500 [2 per cell]
Nb 0.000 0.477 0.500 [2 per cell]
O 0.224 0.327 0.740 [4 per cell]
O 0.229 0.482 0.268 [4 per cell]
O 0.233 0.630 0.743 [4 per cell]

---

No. 6
Li3Gd2Ni3: simulated powder XRD pattern (Cu Kα), based on a GGA-PBE-relaxed structure.
Intensities are scaled so that the largest is 100.

Main lines, sorted by position (5 to 70 degrees two-theta):
- 2θ 13.24, 6.689 Å, I = 66, hkl 0 0 2
- 2θ 26.49, 3.365 Å, I = 100, hkl 1 0 1
- 2θ 28.94, 3.085 Å, I = 25, hkl 1 0 2
- 2θ 32.66, 2.742 Å, I = 23, hkl 1 0 3
- 2θ 37.31, 2.410 Å, I = 34, hkl 1 0 4
- 2θ 39.04, 2.307 Å, I = 25, hkl 1 1 2
- 2θ 41.97, 2.153 Å, I = 29, hkl 1 1 3
- 2θ 48.50, 1.877 Å, I = 23, hkl 1 0 6
- 2θ 50.41, 1.810 Å, I = 31, hkl 1 1 5
- 2θ 59.90, 1.544 Å, I = 22, hkl 2 1 1

Structural model:
Lattice parameters (Å, degrees): 3.477 3.477 13.378 90.00 90.00 90.00
Space group P-4m2 (No. 115)
Symmetry-distinct sites (fractional):
Li 0.000 0.000 0.000 [1 per cell]
Li 0.000 0.000 0.500 [1 per cell]
Li 0.500 0.500 0.000 [1 per cell]
Gd 0.000 0.500 0.799 [2 per cell]
Ni 0.500 0.500 0.334 [2 per cell]
Ni 0.500 0.500 0.500 [1 per cell]

---

No. 7
Li7GdO6: simulated powder XRD pattern (Cu Kα), based on a GGA-PBE-relaxed structure.
Intensities are scaled so that the largest is 100.

Main lines, sorted by position (5 to 70 degrees two-theta):
- 2θ 17.02, 5.210 Å, I = 29, hkl 0 0 3
- 2θ 19.02, 4.666 Å, I = 100, hkl 1 0 1
- 2θ 21.44, 4.145 Å, I = 79, hkl 0 1 2
- 2θ 29.26, 3.052 Å, I = 31, hkl 1 0 4
- 2θ 34.04, 2.634 Å, I = 23, hkl 0 1 5
- 2θ 36.19, 2.482 Å, I = 56, hkl 2 -1 3
- 2θ 37.23, 2.415 Å, I = 17, hkl 0 2 1
- 2θ 47.50, 1.914 Å, I = 32, hkl 2 -1 6
- 2θ 49.68, 1.835 Å, I = 16, hkl 3 -1 1
- 2θ 50.77, 1.798 Å, I = 15, hkl 3 -2 2

Structural model:
Lattice parameters (Å, degrees): 5.6451 5.6451 15.6303 90.00 90.00 120.00
Space group R3 (No. 146, hexagonal axes)
Symmetry-distinct sites (fractional):
Li 0.0000 0.0000 0.0000 [3 per cell]
Li 0.0041 0.2864 0.5644 [9 per cell]
Li 0.0137 0.6313 0.4684 [9 per cell]
Gd 0.0000 0.0000 0.3502 [3 per cell]
O 0.0066 0.6323 0.5956 [9 per cell]
O 0.0362 0.3518 0.1070 [9 per cell]

---

No. 8
Li8Gd4O11: simulated powder XRD pattern (Cu Kα), based on a GGA-PBE-relaxed structure.
Intensities are scaled so that the largest is 100.

Main lines, sorted by position (5 to 70 degrees two-theta):
- 2θ 18.21, 4.871 Å, I = 36, hkl 0 1 1
- 2θ 18.59, 4.772 Å, I = 100, hkl 1 0 1
- 2θ 21.53, 4.127 Å, I = 25, hkl 1 1 0
- 2θ 26.34, 3.384 Å, I = 23, hkl 1 -1 0
- 2θ 31.11, 2.875 Å, I = 27, hkl 1 1 -2
- 2θ 31.73, 2.820 Å, I = 24, hkl 0 1 3
- 2θ 32.76, 2.733 Å, I = 21, hkl 0 2 0
- 2θ 33.53, 2.673 Å, I = 23, hkl 0 1 -3
- 2θ 35.76, 2.511 Å, I = 19, hkl 2 1 1
- 2θ 40.21, 2.243 Å, I = 19, hkl 1 1 4

Structural model:
Lattice parameters (Å, degrees): 5.211 5.601 9.693 84.50 79.79 77.89
Space group P1 (No. 1)
Symmetry-distinct sites (fractional):
Li 0.000 0.000 0.000 [1 per cell]
Li 0.020 0.791 0.524 [1 per cell]
Li 0.384 0.561 0.716 [1 per cell]
Li 0.406 0.336 0.032 [1 per cell]
Li 0.554 0.083 0.545 [1 per cell]
Li 0.608 0.620 0.473 [1 per cell]
Li 0.752 0.061 0.238 [1 per cell]
Li 0.890 0.547 0.132 [1 per cell]
Gd 0.176 0.308 0.362 [1 per cell]
Gd 0.342 0.800 0.203 [1 per cell]
Gd 0.564 0.886 0.856 [1 per cell]
Gd 0.949 0.309 0.705 [1 per cell]
O 0.096 0.179 0.148 [1 per cell]
O 0.133 0.936 0.800 [1 per cell]
O 0.254 0.689 0.998 [1 per cell]
O 0.286 0.445 0.555 [1 per cell]
O 0.447 0.945 0.392 [1 per cell]
O 0.540 0.276 0.829 [1 per cell]
O 0.543 0.408 0.212 [1 per cell]
O 0.693 0.886 0.064 [1 per cell]
O 0.711 0.692 0.657 [1 per cell]
O 0.886 0.158 0.525 [1 per cell]
O 0.951 0.687 0.324 [1 per cell]

---

No. 9
Li6Gd2O7: simulated powder XRD pattern (Cu Kα), based on a GGA-PBE-relaxed structure.
Intensities are scaled so that the largest is 100.

Main lines, sorted by position (5 to 70 degrees two-theta):
- 2θ 15.34, 5.777 Å, I = 100, hkl 0 0 1
- 2θ 16.28, 5.445 Å, I = 45, hkl 1 0 0
- 2θ 21.76, 4.084 Å, I = 24, hkl 1 1 0
- 2θ 22.20, 4.004 Å, I = 41, hkl 1 0 1
- 2θ 25.74, 3.462 Å, I = 23, hkl 1 -1 0
- 2θ 26.91, 3.313 Å, I = 28, hkl -1 1 1
- 2θ 30.30, 2.950 Å, I = 35, hkl 1 1 -1
- 2θ 38.67, 2.328 Å, I = 23, hkl 1 2 2
- 2θ 39.95, 2.257 Å, I = 23, hkl 2 -1 0
- 2θ 43.36, 2.087 Å, I = 22, hkl 1 1 -2

Structural model:
Lattice parameters (Å, degrees): 5.540 5.577 6.194 68.90 85.14 79.44
Space group P-1 (No. 2)
Symmetry-distinct sites (fractional):
Li 0.047 0.216 0.420 [2 per cell]
Li 0.370 0.650 0.310 [2 per cell]
Li 0.396 0.742 0.834 [2 per cell]
Gd 0.143 0.256 0.920 [2 per cell]
O 0.057 0.990 0.746 [2 per cell]
O 0.233 0.464 0.153 [2 per cell]
O 0.294 0.573 0.627 [2 per cell]
O 0.500 0.000 0.000 [1 per cell]

---

No. 10
LiGdSO: simulated powder XRD pattern (Cu Kα), based on a GGA-PBE-relaxed structure.
Intensities are scaled so that the largest is 100.

Main lines, sorted by position (5 to 70 degrees two-theta):
- 2θ 10.34, 8.554 Å, I = 100, hkl 0 0 1
- 2θ 25.29, 3.521 Å, I = 21, hkl 1 1 -1
- 2θ 25.41, 3.505 Å, I = 21, hkl 1 1 1
- 2θ 31.15, 2.871 Å, I = 56, hkl 1 1 -2
- 2θ 31.34, 2.854 Å, I = 60, hkl 1 1 2
- 2θ 32.87, 2.725 Å, I = 40, hkl 2 0 0
- 2θ 47.18, 1.927 Å, I = 23, hkl 2 2 0
- 2θ 54.29, 1.690 Å, I = 14, hkl 2 0 -4
- 2θ 57.56, 1.601 Å, I = 21, hkl 3 1 -2
- 2θ 57.89, 1.593 Å, I = 12, hkl 3 1 2

Structural model:
Lattice parameters (Å, degrees): 5.446 5.453 8.554 90.00 90.49 90.00
Space group C2 (No. 5)
Symmetry-distinct sites (fractional):
Li 0.000 0.000 0.000 [2 per cell]
Li 0.000 0.499 0.000 [2 per cell]
Gd 0.248 0.756 0.364 [4 per cell]
S 0.248 0.750 0.830 [4 per cell]
O 0.000 0.005 0.500 [2 per cell]
O 0.000 0.506 0.500 [2 per cell]

---

No. 11
Li4GdTaO6: simulated powder XRD pattern (Cu Kα), based on a GGA-PBE-relaxed structure.
Intensities are scaled so that the largest is 100.

Main lines, sorted by position (5 to 70 degrees two-theta):
- 2θ 18.10, 4.901 Å, I = 100, hkl 0 0 1
- 2θ 18.70, 4.746 Å, I = 24, hkl 0 2 0
- 2θ 19.69, 4.509 Å, I = 42, hkl 1 1 0
- 2θ 22.46, 3.959 Å, I = 31, hkl 1 1 -1
- 2θ 26.14, 3.409 Å, I = 21, hkl 0 2 1
- 2θ 33.28, 2.692 Å, I = 41, hkl 1 3 0
- 2θ 33.53, 2.673 Å, I = 21, hkl 2 0 -1
- 2θ 35.04, 2.561 Å, I = 35, hkl 2 0 0
- 2θ 41.03, 2.200 Å, I = 45, hkl 1 3 1
- 2θ 41.47, 2.178 Å, I = 28, hkl 2 0 -2

Structural model:
Lattice parameters (Å, degrees): 5.446 9.492 5.210 90.00 109.83 90.00
Space group C2 (No. 5)
Symmetry-distinct sites (fractional):
Li 0.000 0.000 0.000 [2 per cell]
Li 0.000 0.143 0.500 [2 per cell]
Li 0.000 0.307 0.000 [2 per cell]
Li 0.000 0.620 0.000 [2 per cell]
Gd 0.000 0.810 0.500 [2 per cell]
Ta 0.000 0.477 0.500 [2 per cell]
O 0.223 0.328 0.738 [4 per cell]
O 0.228 0.481 0.269 [4 per cell]
O 0.230 0.629 0.741 [4 per cell]

---

No. 12
Li4GdTcO6: simulated powder XRD pattern (Cu Kα), based on a GGA-PBE-relaxed structure.
Intensities are scaled so that the largest is 100.

Main lines, sorted by position (5 to 70 degrees two-theta):
- 2θ 18.13, 4.892 Å, I = 100, hkl 0 0 1
- 2θ 18.97, 4.678 Å, I = 22, hkl 0 2 0
- 2θ 19.96, 4.449 Å, I = 43, hkl 1 1 0
- 2θ 22.77, 3.906 Å, I = 33, hkl 1 1 -1
- 2θ 26.36, 3.381 Å, I = 22, hkl 0 2 1
- 2θ 33.77, 2.655 Å, I = 39, hkl 1 3 0
- 2θ 34.10, 2.629 Å, I = 20, hkl 2 0 -1
- 2θ 35.54, 2.526 Å, I = 28, hkl 2 0 0
- 2θ 41.42, 2.180 Å, I = 51, hkl 1 3 1
- 2θ 42.04, 2.149 Å, I = 24, hkl 2 0 -2

Structural model:
Lattice parameters (Å, degrees): 5.360 9.356 5.185 90.00 109.33 90.00
Space group C2 (No. 5)
Symmetry-distinct sites (fractional):
Li 0.000 0.000 0.000 [2 per cell]
Li 0.000 0.148 0.500 [2 per cell]
Li 0.000 0.309 0.000 [2 per cell]
Li 0.000 0.623 0.000 [2 per cell]
Gd 0.000 0.812 0.500 [2 per cell]
Tc 0.000 0.481 0.500 [2 per cell]
O 0.220 0.331 0.742 [4 per cell]
O 0.227 0.487 0.268 [4 per cell]
O 0.237 0.632 0.746 [4 per cell]